(1)
# Tb2Pm4Er
Simulated powder diffractogram, CuKα. Input: a GGA-PBE-relaxed structure.
Intensities are scaled so that the largest is 100.

Peak list (10 most intense, 2θ = 10–90°, most intense first)
d_spacing, I/Imax
3.032, 100
2.868, 59
2.668, 58
2.621, 21
1.523, 20
1.603, 15
1.886, 14
2.363, 12
1.577, 12
2.733, 10

```
data_Tb2Pm4Er
_chemical_formula_sum 'Tb4 Pm8 Er2'
_space_group_name_H-M_alt 'P 1'
_space_group_IT_number 1
_cell_length_a 6.2647
_cell_length_b 6.2647
_cell_length_c 15.6006
_cell_angle_alpha 90.00
_cell_angle_beta 90.00
_cell_angle_gamma 129.55
loop_
_space_group_symop_operation_xyz
'x,y,z'
loop_
_atom_site_label
_atom_site_type_symbol
_atom_site_fract_x
_atom_site_fract_y
_atom_site_fract_z
_atom_site_occupancy
Tb1 Tb 0.1071 0.8929 0.8439 1
Tb2 Tb 0.3929 0.6071 0.3439 1
Tb3 Tb 0.6071 0.3929 0.6561 1
Tb4 Tb 0.8929 0.1071 0.1561 1
Pm1 Pm 0.0983 0.9017 0.3062 1
Pm2 Pm 0.2042 0.7958 0.0701 1
Pm3 Pm 0.2958 0.7042 0.5701 1
Pm4 Pm 0.4017 0.5983 0.8062 1
Pm5 Pm 0.5983 0.4017 0.1938 1
Pm6 Pm 0.7042 0.2958 0.4299 1
Pm7 Pm 0.7958 0.2042 0.9299 1
Pm8 Pm 0.9017 0.0983 0.6938 1
Er1 Er 0.0000 0.0000 0.5000 1
Er2 Er 0.5000 0.5000 0.0000 1
```

=====

(2)
# Tb4PmEr6
Simulated powder diffractogram, CuKα. Input: a GGA-PBE-relaxed structure.
Intensities are scaled so that the largest is 100.

Peak list (10 most intense, 2θ = 10–90°, most intense first)
d_spacing, I/Imax
2.791, 100
2.925, 64
2.823, 54
2.913, 38
2.675, 35
2.027, 28
1.623, 20
1.632, 16
1.530, 14
2.665, 12

```
data_Tb4PmEr6
_chemical_formula_sum 'Tb8 Pm2 Er12'
_space_group_name_H-M_alt 'P 1'
_space_group_IT_number 1
_cell_length_a 5.5815
_cell_length_b 5.5815
_cell_length_c 25.6032
_cell_angle_alpha 90.00
_cell_angle_beta 90.00
_cell_angle_gamma 119.24
loop_
_space_group_symop_operation_xyz
'x,y,z'
loop_
_atom_site_label
_atom_site_type_symbol
_atom_site_fract_x
_atom_site_fract_y
_atom_site_fract_z
_atom_site_occupancy
Tb1 Tb 0.0139 0.9861 0.6213 1
Tb2 Tb 0.0139 0.9861 0.8787 1
Tb3 Tb 0.3376 0.6624 0.5420 1
Tb4 Tb 0.3376 0.6624 0.9580 1
Tb5 Tb 0.6624 0.3376 0.0420 1
Tb6 Tb 0.6624 0.3376 0.4580 1
Tb7 Tb 0.9861 0.0139 0.1213 1
Tb8 Tb 0.9861 0.0139 0.3787 1
Pm1 Pm 0.3232 0.6768 0.2500 1
Pm2 Pm 0.6768 0.3232 0.7500 1
Er1 Er 0.0000 0.0000 0.0000 1
Er2 Er 0.0000 0.0000 0.5000 1
Er3 Er 0.0108 0.9892 0.7500 1
Er4 Er 0.3223 0.6777 0.1030 1
Er5 Er 0.3223 0.6777 0.3970 1
Er6 Er 0.3450 0.6550 0.6812 1
Er7 Er 0.3450 0.6550 0.8188 1
Er8 Er 0.6550 0.3450 0.1812 1
Er9 Er 0.6550 0.3450 0.3188 1
Er10 Er 0.6777 0.3223 0.6030 1
Er11 Er 0.6777 0.3223 0.8970 1
Er12 Er 0.9892 0.0108 0.2500 1
```

=====

(3)
# Tb3Pm3Er8
Simulated powder diffractogram, CuKα. Input: a GGA-PBE-relaxed structure.
Intensities are scaled so that the largest is 100.

Peak list (10 most intense, 2θ = 10–90°, most intense first)
d_spacing, I/Imax
2.806, 100
2.642, 54
2.799, 48
2.991, 32
2.910, 28
2.021, 20
1.620, 19
1.483, 15
3.064, 12
1.510, 12

```
data_Tb3Pm3Er8
_chemical_formula_sum 'Tb3 Pm3 Er8'
_space_group_name_H-M_alt 'P 1'
_space_group_IT_number 1
_cell_length_a 9.6292
_cell_length_b 9.6292
_cell_length_c 5.6175
_cell_angle_alpha 106.91
_cell_angle_beta 106.91
_cell_angle_gamma 102.00
loop_
_space_group_symop_operation_xyz
'x,y,z'
loop_
_atom_site_label
_atom_site_type_symbol
_atom_site_fract_x
_atom_site_fract_y
_atom_site_fract_z
_atom_site_occupancy
Tb1 Tb 0.0000 0.0000 0.0000 1
Tb2 Tb 0.2968 0.2968 0.2961 1
Tb3 Tb 0.7032 0.7032 0.7039 1
Pm1 Pm 0.3161 0.6839 0.5000 1
Pm2 Pm 0.5000 0.5000 0.0000 1
Pm3 Pm 0.6839 0.3161 0.5000 1
Er1 Er 0.0550 0.2609 0.6579 1
Er2 Er 0.0603 0.6187 0.8395 1
Er3 Er 0.2609 0.0550 0.6579 1
Er4 Er 0.3813 0.9397 0.1605 1
Er5 Er 0.6187 0.0603 0.8395 1
Er6 Er 0.7391 0.9450 0.3421 1
Er7 Er 0.9397 0.3813 0.1605 1
Er8 Er 0.9450 0.7391 0.3421 1
```

=====

(4)
# TbPm12Er7
Simulated powder diffractogram, CuKα. Input: a GGA-PBE-relaxed structure.
Intensities are scaled so that the largest is 100.

Peak list (10 most intense, 2θ = 10–90°, most intense first)
d_spacing, I/Imax
2.855, 100
2.729, 57
2.822, 46
2.925, 42
3.081, 27
2.744, 21
1.675, 17
2.454, 17
3.192, 16
1.795, 14

```
data_TbPm12Er7
_chemical_formula_sum 'Tb1 Pm12 Er7'
_space_group_name_H-M_alt 'P 1'
_space_group_IT_number 1
_cell_length_a 8.8025
_cell_length_b 8.8025
_cell_length_c 8.8025
_cell_angle_alpha 86.63
_cell_angle_beta 86.63
_cell_angle_gamma 86.63
loop_
_space_group_symop_operation_xyz
'x,y,z'
loop_
_atom_site_label
_atom_site_type_symbol
_atom_site_fract_x
_atom_site_fract_y
_atom_site_fract_z
_atom_site_occupancy
Tb1 Tb 0.0000 0.0000 0.0000 1
Pm1 Pm 0.1014 0.3462 0.4221 1
Pm2 Pm 0.2265 0.7567 0.3502 1
Pm3 Pm 0.2433 0.6498 0.7735 1
Pm4 Pm 0.3462 0.4221 0.1014 1
Pm5 Pm 0.3502 0.2265 0.7567 1
Pm6 Pm 0.4221 0.1014 0.3462 1
Pm7 Pm 0.5779 0.8986 0.6538 1
Pm8 Pm 0.6498 0.7735 0.2433 1
Pm9 Pm 0.6538 0.5779 0.8986 1
Pm10 Pm 0.7567 0.3502 0.2265 1
Pm11 Pm 0.7735 0.2433 0.6498 1
Pm12 Pm 0.8986 0.6538 0.5779 1
Er1 Er 0.0045 0.3627 0.8834 1
Er2 Er 0.1166 0.9955 0.6373 1
Er3 Er 0.3627 0.8834 0.0045 1
Er4 Er 0.5000 0.5000 0.5000 1
Er5 Er 0.6373 0.1166 0.9955 1
Er6 Er 0.8834 0.0045 0.3627 1
Er7 Er 0.9955 0.6373 0.1166 1
```

=====

(5)
# TbPm10Er4
Simulated powder diffractogram, CuKα. Input: a GGA-PBE-relaxed structure.
Intensities are scaled so that the largest is 100.

Peak list (10 most intense, 2θ = 10–90°, most intense first)
d_spacing, I/Imax
2.745, 100
1.585, 38
4.482, 29
1.941, 18
2.341, 16
1.372, 12
1.228, 11
3.881, 10
1.781, 7
1.226, 5

```
data_TbPm10Er4
_chemical_formula_sum 'Tb1 Pm10 Er4'
_space_group_name_H-M_alt 'P 1'
_space_group_IT_number 1
_cell_length_a 9.5101
_cell_length_b 9.5101
_cell_length_c 9.5101
_cell_angle_alpha 99.57
_cell_angle_beta 99.57
_cell_angle_gamma 131.88
loop_
_space_group_symop_operation_xyz
'x,y,z'
loop_
_atom_site_label
_atom_site_type_symbol
_atom_site_fract_x
_atom_site_fract_y
_atom_site_fract_z
_atom_site_occupancy
Tb1 Tb 0.0000 0.0000 0.0000 1
Pm1 Pm 0.0498 0.3503 0.8994 1
Pm2 Pm 0.1504 0.0498 0.6995 1
Pm3 Pm 0.2500 0.7500 0.5000 1
Pm4 Pm 0.3503 0.4510 0.3005 1
Pm5 Pm 0.4510 0.1504 0.1006 1
Pm6 Pm 0.5490 0.8496 0.8994 1
Pm7 Pm 0.6497 0.5490 0.6995 1
Pm8 Pm 0.7500 0.2500 0.5000 1
Pm9 Pm 0.8496 0.9502 0.3005 1
Pm10 Pm 0.9502 0.6497 0.1006 1
Er1 Er 0.2001 0.3999 0.6000 1
Er2 Er 0.3999 0.7999 0.1998 1
Er3 Er 0.6001 0.2001 0.8002 1
Er4 Er 0.7999 0.6001 0.4000 1
```

=====

(6)
# Tb5PmEr3
Simulated powder diffractogram, CuKα. Input: a GGA-PBE-relaxed structure.
Intensities are scaled so that the largest is 100.

Peak list (10 most intense, 2θ = 10–90°, most intense first)
d_spacing, I/Imax
2.798, 100
2.835, 96
1.991, 34
1.482, 29
1.623, 24
1.617, 13
1.621, 11
1.187, 9
2.184, 9
1.747, 9

```
data_Tb5PmEr3
_chemical_formula_sum 'Tb10 Pm2 Er6'
_space_group_name_H-M_alt 'P 1'
_space_group_IT_number 1
_cell_length_a 10.3114
_cell_length_b 10.3114
_cell_length_c 10.3114
_cell_angle_alpha 140.38
_cell_angle_beta 70.73
_cell_angle_gamma 124.03
loop_
_space_group_symop_operation_xyz
'x,y,z'
loop_
_atom_site_label
_atom_site_type_symbol
_atom_site_fract_x
_atom_site_fract_y
_atom_site_fract_z
_atom_site_occupancy
Tb1 Tb 0.1513 0.4013 0.7500 1
Tb2 Tb 0.1543 0.0713 0.0831 1
Tb3 Tb 0.1789 0.5950 0.5840 1
Tb4 Tb 0.4882 0.0713 0.4169 1
Tb5 Tb 0.4890 0.4050 0.0840 1
Tb6 Tb 0.5110 0.5950 0.9160 1
Tb7 Tb 0.5118 0.9287 0.5831 1
Tb8 Tb 0.8211 0.4050 0.4160 1
Tb9 Tb 0.8457 0.9287 0.9169 1
Tb10 Tb 0.8487 0.5987 0.2500 1
Pm1 Pm 0.1828 0.9328 0.2500 1
Pm2 Pm 0.8172 0.0672 0.7500 1
Er1 Er 0.1688 0.0000 0.6688 1
Er2 Er 0.1688 0.5000 0.1688 1
Er3 Er 0.5000 0.0000 0.0000 1
Er4 Er 0.5000 0.5000 0.5000 1
Er5 Er 0.8312 0.0000 0.3312 1
Er6 Er 0.8312 0.5000 0.8312 1
```

=====

(7)
# Tb6Pm2Er
Simulated powder diffractogram, CuKα. Input: a GGA-PBE-relaxed structure.
Intensities are scaled so that the largest is 100.

Peak list (10 most intense, 2θ = 10–90°, most intense first)
d_spacing, I/Imax
2.958, 100
2.788, 90
2.898, 44
2.521, 31
2.292, 23
1.671, 19
1.660, 19
1.936, 15
1.534, 14
1.477, 12

```
data_Tb6Pm2Er
_chemical_formula_sum 'Tb12 Pm4 Er2'
_space_group_name_H-M_alt 'P 1'
_space_group_IT_number 1
_cell_length_a 10.3516
_cell_length_b 10.3516
_cell_length_c 6.1438
_cell_angle_alpha 91.74
_cell_angle_beta 91.74
_cell_angle_gamma 117.72
loop_
_space_group_symop_operation_xyz
'x,y,z'
loop_
_atom_site_label
_atom_site_type_symbol
_atom_site_fract_x
_atom_site_fract_y
_atom_site_fract_z
_atom_site_occupancy
Tb1 Tb 0.0023 0.8353 0.5009 1
Tb2 Tb 0.0814 0.5846 0.7518 1
Tb3 Tb 0.1647 0.9977 0.9991 1
Tb4 Tb 0.3325 0.5056 0.4979 1
Tb5 Tb 0.4154 0.9186 0.7482 1
Tb6 Tb 0.4944 0.6675 0.0021 1
Tb7 Tb 0.5056 0.3325 0.9979 1
Tb8 Tb 0.5846 0.0814 0.2518 1
Tb9 Tb 0.6675 0.4944 0.5021 1
Tb10 Tb 0.8353 0.0023 0.0009 1
Tb11 Tb 0.9186 0.4154 0.2482 1
Tb12 Tb 0.9977 0.1647 0.4991 1
Pm1 Pm 0.1691 0.3319 0.9965 1
Pm2 Pm 0.3319 0.1691 0.4965 1
Pm3 Pm 0.6681 0.8309 0.5035 1
Pm4 Pm 0.8309 0.6681 0.0035 1
Er1 Er 0.2472 0.7528 0.2500 1
Er2 Er 0.7528 0.2472 0.7500 1
```

=====

(8)
# Tb3Pm4Er5
Simulated powder diffractogram, CuKα. Input: a GGA-PBE-relaxed structure.
Intensities are scaled so that the largest is 100.

Peak list (10 most intense, 2θ = 10–90°, most intense first)
d_spacing, I/Imax
2.911, 100
2.523, 34
1.783, 30
1.521, 25
1.519, 18
2.518, 17
1.157, 12
1.456, 9
1.129, 7
1.781, 6

```
data_Tb3Pm4Er5
_chemical_formula_sum 'Tb3 Pm4 Er5'
_space_group_name_H-M_alt 'P 1'
_space_group_IT_number 1
_cell_length_a 6.1791
_cell_length_b 7.1324
_cell_length_c 8.7281
_cell_angle_alpha 89.87
_cell_angle_beta 89.99
_cell_angle_gamma 89.90
loop_
_space_group_symop_operation_xyz
'x,y,z'
loop_
_atom_site_label
_atom_site_type_symbol
_atom_site_fract_x
_atom_site_fract_y
_atom_site_fract_z
_atom_site_occupancy
Tb1 Tb 0.0000 0.0000 0.0000 1
Tb2 Tb 0.1680 0.2488 0.6685 1
Tb3 Tb 0.8320 0.7512 0.3315 1
Pm1 Pm 0.1671 0.7515 0.6684 1
Pm2 Pm 0.3317 0.4995 0.3309 1
Pm3 Pm 0.6683 0.5005 0.6691 1
Pm4 Pm 0.8329 0.2485 0.3316 1
Er1 Er 0.0000 0.5000 0.0000 1
Er2 Er 0.3339 0.9994 0.3308 1
Er3 Er 0.4992 0.2482 0.9999 1
Er4 Er 0.5008 0.7518 0.0001 1
Er5 Er 0.6661 0.0006 0.6692 1
```

=====

(9)
# Tb4Pm2Er
Simulated powder diffractogram, CuKα. Input: a GGA-PBE-relaxed structure.
Intensities are scaled so that the largest is 100.

Peak list (10 most intense, 2θ = 10–90°, most intense first)
d_spacing, I/Imax
2.898, 100
2.697, 62
3.019, 44
1.605, 17
1.548, 17
1.873, 17
1.592, 15
2.275, 15
3.262, 14
2.777, 10

```
data_Tb4Pm2Er
_chemical_formula_sum 'Tb8 Pm4 Er2'
_space_group_name_H-M_alt 'P 1'
_space_group_IT_number 1
_cell_length_a 6.6181
_cell_length_b 6.6181
_cell_length_c 19.5707
_cell_angle_alpha 90.00
_cell_angle_beta 90.00
_cell_angle_gamma 147.11
loop_
_space_group_symop_operation_xyz
'x,y,z'
loop_
_atom_site_label
_atom_site_type_symbol
_atom_site_fract_x
_atom_site_fract_y
_atom_site_fract_z
_atom_site_occupancy
Tb1 Tb 0.1078 0.8922 0.8223 1
Tb2 Tb 0.2340 0.7660 0.5656 1
Tb3 Tb 0.2660 0.7340 0.0656 1
Tb4 Tb 0.3922 0.6078 0.3223 1
Tb5 Tb 0.6078 0.3922 0.6777 1
Tb6 Tb 0.7340 0.2660 0.9344 1
Tb7 Tb 0.7660 0.2340 0.4344 1
Tb8 Tb 0.8922 0.1078 0.1777 1
Pm1 Pm 0.1088 0.8912 0.3311 1
Pm2 Pm 0.3912 0.6088 0.8311 1
Pm3 Pm 0.6088 0.3912 0.1689 1
Pm4 Pm 0.8912 0.1088 0.6689 1
Er1 Er 0.0000 0.0000 0.0000 1
Er2 Er 0.5000 0.5000 0.5000 1
```

=====

(10)
# Tb7Pm3Er
Simulated powder diffractogram, CuKα. Input: a GGA-PBE-relaxed structure.
Intensities are scaled so that the largest is 100.

Peak list (10 most intense, 2θ = 10–90°, most intense first)
d_spacing, I/Imax
2.829, 100
2.777, 69
2.735, 54
2.806, 49
2.862, 23
1.476, 19
1.743, 16
1.613, 16
1.965, 15
1.980, 11

```
data_Tb7Pm3Er
_chemical_formula_sum 'Tb7 Pm3 Er1'
_space_group_name_H-M_alt 'P 1'
_space_group_IT_number 1
_cell_length_a 6.9714
_cell_length_b 5.5525
_cell_length_c 9.9961
_cell_angle_alpha 90.00
_cell_angle_beta 109.44
_cell_angle_gamma 90.00
loop_
_space_group_symop_operation_xyz
'x,y,z'
loop_
_atom_site_label
_atom_site_type_symbol
_atom_site_fract_x
_atom_site_fract_y
_atom_site_fract_z
_atom_site_occupancy
Tb1 Tb 0.0000 0.0000 0.0000 1
Tb2 Tb 0.1477 0.5000 0.2895 1
Tb3 Tb 0.3218 0.5000 0.6368 1
Tb4 Tb 0.4228 0.0000 0.8289 1
Tb5 Tb 0.5772 0.0000 0.1711 1
Tb6 Tb 0.6782 0.5000 0.3632 1
Tb7 Tb 0.8523 0.5000 0.7105 1
Pm1 Pm 0.0000 0.0000 0.5000 1
Pm2 Pm 0.2806 0.5000 0.9966 1
Pm3 Pm 0.7194 0.5000 0.0034 1
Er1 Er 0.5000 0.0000 0.5000 1
```

=====

(11)
# Tb8PmEr4
Simulated powder diffractogram, CuKα. Input: a GGA-PBE-relaxed structure.
Intensities are scaled so that the largest is 100.

Peak list (10 most intense, 2θ = 10–90°, most intense first)
d_spacing, I/Imax
2.858, 100
2.726, 40
2.312, 31
1.818, 30
3.027, 29
1.558, 21
3.128, 17
1.745, 17
1.534, 14
1.429, 12

```
data_Tb8PmEr4
_chemical_formula_sum 'Tb8 Pm1 Er4'
_space_group_name_H-M_alt 'P 1'
_space_group_IT_number 1
_cell_length_a 10.0055
_cell_length_b 10.0055
_cell_length_c 10.0055
_cell_angle_alpha 42.61
_cell_angle_beta 42.61
_cell_angle_gamma 42.61
loop_
_space_group_symop_operation_xyz
'x,y,z'
loop_
_atom_site_label
_atom_site_type_symbol
_atom_site_fract_x
_atom_site_fract_y
_atom_site_fract_z
_atom_site_occupancy
Tb1 Tb 0.1972 0.7505 0.7505 1
Tb2 Tb 0.2176 0.2176 0.2176 1
Tb3 Tb 0.2495 0.2495 0.8028 1
Tb4 Tb 0.2495 0.8028 0.2495 1
Tb5 Tb 0.7505 0.1972 0.7505 1
Tb6 Tb 0.7505 0.7505 0.1972 1
Tb7 Tb 0.7824 0.7824 0.7824 1
Tb8 Tb 0.8028 0.2495 0.2495 1
Pm1 Pm 0.5000 0.5000 0.5000 1
Er1 Er 0.0000 0.0000 0.0000 1
Er2 Er 0.0000 0.5000 0.5000 1
Er3 Er 0.5000 0.0000 0.5000 1
Er4 Er 0.5000 0.5000 0.0000 1
```